# LaAlGe
Theoretical powder XRD pattern, Cu Ka. Input: the GGA-PBE geometry in the Materials Project.

Main lines, in order of rising 2θ (2θ = 5–70°):
d_spacing	2theta	I/Imax
3.276	27.22	41
2.853	31.35	100
2.456	36.58	46
2.185	41.31	36
1.908	47.65	21
1.633	56.35	26
1.437	64.87	17
1.359	69.13	20

Structure:
```
data_LaAlGe
_chemical_formula_sum 'La2 Al2 Ge2'
_cell_length_a 8.042
_cell_length_b 8.042
_cell_length_c 8.042
_cell_angle_alpha 148.46
_cell_angle_beta 148.46
_cell_angle_gamma 45.20
_symmetry_space_group_name_H-M 'P 1'
_symmetry_Int_Tables_number 1
_symmetry_space_group_name_Hall 'P 1'
loop_
_atom_site_label
_atom_site_type_symbol
_atom_site_fract_x
_atom_site_fract_y
_atom_site_fract_z
La1 La 0.000 0.000 0.000
La2 La 0.750 0.250 0.500
Al1 Al 0.167 0.667 0.500
Al2 Al 0.417 0.417 0.000
Ge1 Ge 0.333 0.833 0.500
Ge2 Ge 0.583 0.583 0.000
```